# Dy3Sc2Cd2
Computed X-ray powder pattern, CuKα. Input: the PBE geometry in Alexandria.
Neutral-atom scattering factors, no anomalous dispersion.

a b c (Å): 4.916 22.009 3.411
angles (deg): 90.00 90.00 90.00
Space group Cmmm (No. 65)
Unique sites:
Dy 0.000 0.000 0.000
Dy 0.000 0.152 0.000
Sc 0.000 0.286 0.500
Cd 0.000 0.428 0.500

Peak list (12 most intense, 2θ = 10–80°, by intensity)
(1 1 1), 32.20 deg, rel. 100.0
(1 7 0), 33.84 deg, rel. 80.0
(0 6 1), 35.96 deg, rel. 49.4
(2 0 0), 36.56 deg, rel. 34.6
(2 6 1), 52.21 deg, rel. 33.6
(1 7 2), 65.05 deg, rel. 23.2
(1 13 1), 64.29 deg, rel. 21.2
(0 8 1), 42.20 deg, rel. 14.9
(1 5 0), 27.19 deg, rel. 14.1
(3 1 1), 63.08 deg, rel. 14.1
(2 8 1), 57.04 deg, rel. 13.7
(3 7 0), 64.08 deg, rel. 12.1

***

# CaPm4H10
Computed X-ray powder pattern, CuKα. Input: the PBE geometry in Alexandria.
Neutral-atom scattering factors, no anomalous dispersion.

a b c (Å): 3.8210 3.8210 47.0621
angles (deg): 90.00 90.00 120.00
Space group R-3m (No. 166, hexagonal axes)
Unique sites:
Ca 0.0000 0.0000 0.0000
Pm 0.0000 0.0000 0.1998
Pm 0.0000 0.0000 0.4004
H 0.0000 0.0000 0.0505
H 0.0000 0.0000 0.1503
H 0.0000 0.0000 0.2499
H 0.0000 0.0000 0.3511
H 0.0000 0.0000 0.4504

Peak list (12 most intense, 2θ = 10–80°, by intensity)
(0 1 5), 28.59 deg, rel. 100.0
(1 0 10), 33.09 deg, rel. 64.8
(2 0 5), 56.41 deg, rel. 44.2
(0 0 15), 28.45 deg, rel. 33.7
(0 1 20), 47.41 deg, rel. 25.6
(1 1 0), 47.60 deg, rel. 25.3
(1 0 25), 56.22 deg, rel. 15.3
(0 2 10), 59.19 deg, rel. 12.4
(1 2 5), 76.90 deg, rel. 11.8
(1 1 30), 78.97 deg, rel. 10.8
(2 1 10), 79.25 deg, rel. 10.7
(2 0 20), 69.44 deg, rel. 8.0

***

# ErAl2S4
Computed X-ray powder pattern, CuKα. Input: the PBE geometry in Alexandria.
Neutral-atom scattering factors, no anomalous dispersion.

a b c (Å): 7.631 7.631 6.055
angles (deg): 90.00 90.00 90.00
Space group I4/m (No. 87)
Unique sites:
Er 0.000 0.000 0.000
Al 0.000 0.500 0.250
S 0.145 0.670 0.000

Peak list (12 most intense, 2θ = 10–80°, by intensity)
(1 0 1), 18.71 deg, rel. 100.0
(2 1 1), 30.06 deg, rel. 68.9
(3 1 2), 48.23 deg, rel. 45.5
(2 0 0), 23.31 deg, rel. 26.7
(1 1 2), 33.95 deg, rel. 24.3
(2 2 0), 33.21 deg, rel. 22.4
(2 3 1), 45.40 deg, rel. 22.0
(3 1 0), 37.26 deg, rel. 19.2
(0 0 2), 29.50 deg, rel. 16.4
(1 4 1), 51.64 deg, rel. 16.3
(3 0 1), 38.38 deg, rel. 15.6
(2 1 3), 52.69 deg, rel. 13.8

***

# NdTm4PbS8
Computed X-ray powder pattern, CuKα. Input: the PBE geometry in Alexandria.
Neutral-atom scattering factors, no anomalous dispersion.

a b c (Å): 8.0350 8.0350 20.2994
angles (deg): 90.00 90.00 120.00
Space group R3m (No. 160, hexagonal axes)
Unique sites:
Nd 0.0000 0.0000 0.0000
Tm 0.0000 0.0000 0.6239
Tm 0.1687 0.3375 0.8304
Pb 0.0000 0.0000 0.3702
S 0.0000 0.0000 0.2311
S 0.0000 0.0000 0.7556
S 0.0288 0.5144 0.7571
S 0.1732 0.3464 0.5753

Peak list (12 most intense, 2θ = 10–80°, by intensity)
(1 1 3), 25.79 deg, rel. 100.0
(2 0 8), 44.18 deg, rel. 54.8
(0 2 1), 25.98 deg, rel. 53.3
(2 2 0), 45.14 deg, rel. 53.3
(0 1 5), 25.40 deg, rel. 47.2
(1 0 4), 21.67 deg, rel. 36.4
(1 2 5), 40.88 deg, rel. 32.0
(0 3 3), 41.14 deg, rel. 29.8
(1 1 0), 22.13 deg, rel. 26.7
(0 2 4), 31.17 deg, rel. 26.4
(0 2 7), 40.49 deg, rel. 24.9
(2 0 2), 27.09 deg, rel. 18.0

***

# Pu4GaRh4
Computed X-ray powder pattern, CuKα. Input: the PBE geometry in Alexandria.
Neutral-atom scattering factors, no anomalous dispersion.

a b c (Å): 7.947 7.947 4.831
angles (deg): 90.00 90.00 90.00
Space group I4/m (No. 87)
Unique sites:
Pu 0.140 0.839 0.000
Ga 0.000 0.000 0.500
Rh 0.021 0.334 0.500

Peak list (12 most intense, 2θ = 10–80°, by intensity)
(3 0 1), 38.77 deg, rel. 100.0
(1 0 1), 21.53 deg, rel. 32.3
(0 0 2), 37.23 deg, rel. 31.3
(3 3 0), 48.60 deg, rel. 23.4
(3 3 2), 62.77 deg, rel. 21.9
(3 0 3), 68.15 deg, rel. 19.3
(4 3 1), 61.41 deg, rel. 9.1
(1 3 0), 35.73 deg, rel. 7.9
(1 1 0), 15.77 deg, rel. 7.3
(1 4 1), 51.01 deg, rel. 6.6
(4 0 0), 45.66 deg, rel. 6.0
(6 0 0), 71.18 deg, rel. 6.0

***

# Pr2Nd4SmHo
Computed X-ray powder pattern, CuKα. Input: the PBE geometry in Alexandria.
Neutral-atom scattering factors, no anomalous dispersion.

a b c (Å): 5.177 5.187 10.355
angles (deg): 90.00 90.12 90.00
Space group P2/m (No. 10)
Unique sites:
Pr 0.000 0.000 0.000
Pr 0.500 0.500 0.500
Nd 0.000 0.500 0.248
Nd 0.500 0.000 0.249
Sm 0.000 0.000 0.500
Ho 0.500 0.500 0.000

Peak list (9 most intense, 2θ = 10–80°, by intensity)
(1 1 2), 29.87 deg, rel. 100.0
(2 0 0), 34.63 deg, rel. 50.7
(2 2 0), 49.77 deg, rel. 30.3
(1 3 2), 59.12 deg, rel. 28.9
(3 1 2), 59.22 deg, rel. 14.4
(2 2 4), 62.06 deg, rel. 12.5
(2 0 4), 49.88 deg, rel. 6.0
(4 0 0), 73.12 deg, rel. 3.8
(0 4 0), 72.95 deg, rel. 1.9

***

# AlGaCo2Rh
Computed X-ray powder pattern, CuKα. Input: the PBE geometry in Alexandria.
Neutral-atom scattering factors, no anomalous dispersion.

a b c (Å): 4.611 4.611 4.608
angles (deg): 90.00 90.00 90.00
Space group P4/mmm (No. 123)
Unique sites:
Al 0.000 0.000 0.000
Ga 0.500 0.500 0.000
Co 0.000 0.500 0.500
Rh 0.500 0.500 0.500

Peak list (12 most intense, 2θ = 10–80°, by intensity)
(1 0 0), 19.25 deg, rel. 100.0
(2 0 0), 39.08 deg, rel. 84.0
(2 2 0), 56.46 deg, rel. 54.9
(2 1 0), 43.92 deg, rel. 46.2
(1 1 1), 33.67 deg, rel. 22.3
(3 0 0), 60.22 deg, rel. 21.8
(1 1 0), 27.36 deg, rel. 18.6
(2 2 2), 70.80 deg, rel. 17.9
(3 2 0), 74.16 deg, rel. 9.1
(1 1 2), 48.37 deg, rel. 7.7
(3 1 1), 67.37 deg, rel. 7.6
(3 1 2), 77.47 deg, rel. 4.0

***

# K4Th3AuS8
Computed X-ray powder pattern, CuKα. Input: the PBE geometry in Alexandria.
Neutral-atom scattering factors, no anomalous dispersion.

a b c (Å): 14.597 8.227 8.816
angles (deg): 90.00 123.18 90.00
Space group C2/m (No. 12)
Unique sites:
K 0.000 0.000 0.000
K 0.000 0.500 0.000
K 0.250 0.250 0.000
Th 0.000 0.000 0.500
Th 0.250 0.250 0.500
Au 0.000 0.500 0.500
S 0.020 0.245 0.298
S 0.234 0.000 0.710
S 0.249 0.000 0.285

Peak list (12 most intense, 2θ = 10–80°, by intensity)
(0 0 1), 11.99 deg, rel. 100.0
(2 2 -2), 29.74 deg, rel. 69.9
(4 0 0), 29.24 deg, rel. 36.4
(2 2 0), 26.12 deg, rel. 33.8
(2 2 -1), 25.19 deg, rel. 28.4
(2 2 2), 41.16 deg, rel. 26.3
(6 2 -2), 43.20 deg, rel. 25.0
(0 0 2), 24.12 deg, rel. 22.3
(4 0 -2), 25.75 deg, rel. 17.6
(2 2 -3), 38.00 deg, rel. 16.5
(4 0 -1), 24.70 deg, rel. 15.3
(4 0 -4), 41.05 deg, rel. 13.2